For Pr6TlHg, the PBE geometry in Alexandria gives the calculated powder XRD pattern in this record (Cu Ka).
Lines closer than 0.1° are merged.

Cell and atoms:
a = 5.3217 Å, b = 5.3217 Å, c = 18.6222 Å
α = 90.00°, β = 90.00°, γ = 90.00°
Space group I4/mmm (No. 139)
Symmetry-distinct sites (fractional):
Pr 0.0000 0.0000 0.2496
Pr 0.0000 0.5000 0.1117
Tl 0.0000 0.0000 0.0000
Hg 0.0000 0.0000 0.5000

The 10 most intense peaks (2θ = 10–80°), in order of falling intensity:
2theta  d_spacing  intensity
30.5  2.927  100
33.7  2.661  41
58.3  1.583  32
52.2  1.752  19
48.4  1.882  15
38.7  2.328  11
63.6  1.463  11
65.0  1.435  8
79.1  1.211  7
37.6  2.394  6